[1]
Sr3TaCoO7: computed PXRD pattern (Cu Kα), based on a cell relaxed with GGA+U.
No peak broadening, texture or thermal motion is included.

Atomic structure:
```
data_Sr3TaCoO7
_chemical_formula_sum 'Sr3 Ta1 Co1 O7'
_symmetry_space_group_name_H-M 'P 1'
_symmetry_Int_Tables_number 1
_cell_length_a 10.8856
_cell_length_b 10.8856
_cell_length_c 10.8856
_cell_angle_alpha 159.02
_cell_angle_beta 159.02
_cell_angle_gamma 29.85
loop_
_symmetry_equiv_pos_as_xyz
'x,y,z'
loop_
_atom_site_label
_atom_site_fract_x
_atom_site_fract_y
_atom_site_fract_z
_atom_site_occupancy
Sr1 0.0000 0.0000 0.0000 1
Sr2 0.1614 0.1614 0.0000 1
Sr3 0.7882 0.7882 0.0000 1
Ta1 0.3853 0.3853 0.0000 1
Co1 0.5827 0.5827 0.0000 1
O1 0.0780 0.5780 0.5000 1
O2 0.2877 0.2877 0.0000 1
O3 0.3811 0.8811 0.5000 1
O4 0.4769 0.4769 0.0000 1
O5 0.5780 0.0780 0.5000 1
O6 0.6778 0.6778 0.0000 1
O7 0.8811 0.3811 0.5000 1
```

Top 10 peaks for 5 to 70 degrees two-theta, sorted by position:
2θ = 8.41°, d 10.519, rel. 24; 2θ = 16.86°, d 5.259, rel. 14; 2θ = 25.82°, d 3.451, rel. 25; 2θ = 30.99°, d 2.885, rel. 100; 2θ = 31.93°, d 2.803, rel. 62; 2θ = 42.99°, d 2.104, rel. 14; 2θ = 45.77°, d 1.982, rel. 36; 2θ = 54.54°, d 1.683, rel. 16; 2θ = 56.31°, d 1.634, rel. 38; 2θ = 64.60°, d 1.443, rel. 15

=====

[2]
Sr2YTlCo2O7: computed PXRD pattern (Cu Kα), based on a cell relaxed with GGA+U.
No peak broadening, texture or thermal motion is included.

Atomic structure:
```
data_Sr2YTlCo2O7
_chemical_formula_sum 'Sr2 Y1 Tl1 Co2 O7'
_symmetry_space_group_name_H-M 'P 1'
_symmetry_Int_Tables_number 1
_cell_length_a 3.8433
_cell_length_b 3.8433
_cell_length_c 12.2989
_cell_angle_alpha 90.00
_cell_angle_beta 90.00
_cell_angle_gamma 90.00
loop_
_symmetry_equiv_pos_as_xyz
'x,y,z'
loop_
_atom_site_label
_atom_site_fract_x
_atom_site_fract_y
_atom_site_fract_z
_atom_site_occupancy
Sr1 0.0000 0.0000 0.2041 1
Sr2 0.0000 0.0000 0.7959 1
Y1 0.0000 0.0000 0.5000 1
Tl1 0.5000 0.5000 0.0000 1
Co1 0.5000 0.5000 0.3545 1
Co2 0.5000 0.5000 0.6455 1
O1 0.0000 0.0000 0.0000 1
O2 0.0000 0.5000 0.3819 1
O3 0.0000 0.5000 0.6181 1
O4 0.5000 0.0000 0.3819 1
O5 0.5000 0.0000 0.6181 1
O6 0.5000 0.5000 0.1844 1
O7 0.5000 0.5000 0.8156 1
```

Top 10 peaks for 5 to 70 degrees two-theta, sorted by position:
2θ = 24.26°, d 3.668, rel. 21; 2θ = 27.36°, d 3.259, rel. 20; 2θ = 31.92°, d 2.804, rel. 100; 2θ = 32.96°, d 2.718, rel. 63; 2θ = 36.53°, d 2.460, rel. 12; 2θ = 44.49°, d 2.036, rel. 18; 2θ = 47.30°, d 1.922, rel. 33; 2θ = 50.01°, d 1.824, rel. 10; 2θ = 56.21°, d 1.636, rel. 17; 2θ = 58.20°, d 1.585, rel. 37

=====

[3]
SrTm2CoO5: computed PXRD pattern (Cu Kα), based on a cell relaxed with GGA+U.
No peak broadening, texture or thermal motion is included.

Atomic structure:
```
data_SrTm2CoO5
_chemical_formula_sum 'Sr2 Tm4 Co2 O10'
_symmetry_space_group_name_H-M 'P 1'
_symmetry_Int_Tables_number 1
_cell_length_a 7.2723
_cell_length_b 7.2723
_cell_length_c 7.2723
_cell_angle_alpha 127.85
_cell_angle_beta 127.85
_cell_angle_gamma 76.86
loop_
_symmetry_equiv_pos_as_xyz
'x,y,z'
loop_
_atom_site_label
_atom_site_fract_x
_atom_site_fract_y
_atom_site_fract_z
_atom_site_occupancy
Sr1 0.2500 0.2500 0.0000 1
Sr2 0.7500 0.7500 0.0000 1
Tm1 0.1746 0.6746 0.8492 1
Tm2 0.3254 0.1746 0.5000 1
Tm3 0.6746 0.8254 0.5000 1
Tm4 0.8254 0.3254 0.1508 1
Co1 0.2500 0.7500 0.5000 1
Co2 0.7500 0.2500 0.5000 1
O1 0.0000 0.0000 0.0000 1
O2 0.0202 0.2252 0.5000 1
O3 0.2252 0.7252 0.2050 1
O4 0.2748 0.4798 0.5000 1
O5 0.4798 0.9798 0.2050 1
O6 0.5000 0.5000 0.0000 1
O7 0.5202 0.0202 0.7950 1
O8 0.7252 0.5202 0.5000 1
O9 0.7748 0.2748 0.7950 1
O10 0.9798 0.7748 0.5000 1
```

Top 10 peaks for 5 to 70 degrees two-theta, sorted by position:
2θ = 15.56°, d 5.697, rel. 52; 2θ = 31.41°, d 2.848, rel. 46; 2θ = 32.11°, d 2.788, rel. 100; 2θ = 32.28°, d 2.773, rel. 77; 2θ = 39.45°, d 2.284, rel. 82; 2θ = 39.89°, d 2.260, rel. 21; 2θ = 51.27°, d 1.782, rel. 37; 2θ = 56.36°, d 1.633, rel. 20; 2θ = 60.24°, d 1.536, rel. 22; 2θ = 64.97°, d 1.435, rel. 22

=====

[4]
Sr2UCo3O12: computed PXRD pattern (Cu Kα), based on a cell relaxed with GGA+U.
No peak broadening, texture or thermal motion is included.

Atomic structure:
```
data_Sr2UCo3O12
_chemical_formula_sum 'Sr2 U1 Co3 O12'
_symmetry_space_group_name_H-M 'P 1'
_symmetry_Int_Tables_number 1
_cell_length_a 6.8996
_cell_length_b 6.8996
_cell_length_c 6.8996
_cell_angle_alpha 59.14
_cell_angle_beta 59.14
_cell_angle_gamma 59.14
loop_
_symmetry_equiv_pos_as_xyz
'x,y,z'
loop_
_atom_site_label
_atom_site_fract_x
_atom_site_fract_y
_atom_site_fract_z
_atom_site_occupancy
Sr1 0.1077 0.1077 0.1077 1
Sr2 0.8923 0.8923 0.8923 1
U1 0.5000 0.5000 0.5000 1
Co1 0.0000 0.5000 0.5000 1
Co2 0.5000 0.0000 0.5000 1
Co3 0.5000 0.5000 0.0000 1
O1 0.1270 0.6029 0.6029 1
O2 0.1895 0.1895 0.6056 1
O3 0.1895 0.6056 0.1895 1
O4 0.3944 0.8105 0.8105 1
O5 0.3971 0.3971 0.8730 1
O6 0.3971 0.8730 0.3971 1
O7 0.6029 0.1270 0.6029 1
O8 0.6029 0.6029 0.1270 1
O9 0.6056 0.1895 0.1895 1
O10 0.8105 0.3944 0.8105 1
O11 0.8105 0.8105 0.3944 1
O12 0.8730 0.3971 0.3971 1
```

Top 10 peaks for 5 to 70 degrees two-theta, sorted by position:
2θ = 15.91°, d 5.572, rel. 57; 2θ = 18.31°, d 4.846, rel. 46; 2θ = 26.17°, d 3.405, rel. 41; 2θ = 30.33°, d 2.947, rel. 70; 2θ = 30.63°, d 2.919, rel. 100; 2θ = 32.13°, d 2.786, rel. 58; 2θ = 48.85°, d 1.864, rel. 29; 2θ = 49.05°, d 1.857, rel. 29; 2θ = 53.85°, d 1.702, rel. 38; 2θ = 63.08°, d 1.474, rel. 33

=====

[5]
SrCoWO6: computed PXRD pattern (Cu Kα), based on a cell relaxed with GGA+U.
No peak broadening, texture or thermal motion is included.

Atomic structure:
```
data_SrCoWO6
_chemical_formula_sum 'Sr1 Co1 W1 O6'
_symmetry_space_group_name_H-M 'P 1'
_symmetry_Int_Tables_number 1
_cell_length_a 5.1090
_cell_length_b 5.1090
_cell_length_c 5.4383
_cell_angle_alpha 90.16
_cell_angle_beta 90.16
_cell_angle_gamma 119.79
loop_
_symmetry_equiv_pos_as_xyz
'x,y,z'
loop_
_atom_site_label
_atom_site_fract_x
_atom_site_fract_y
_atom_site_fract_z
_atom_site_occupancy
Sr1 0.0000 0.0000 0.0000 1
Co1 0.3312 0.6688 0.5000 1
W1 0.6668 0.3332 0.5000 1
O1 0.0055 0.3860 0.7003 1
O2 0.0083 0.6212 0.3019 1
O3 0.3788 0.9917 0.6981 1
O4 0.3820 0.3893 0.3001 1
O5 0.6107 0.6180 0.6999 1
O6 0.6140 0.9945 0.2997 1
```

Top 10 peaks for 5 to 70 degrees two-theta, sorted by position:
2θ = 16.30°, d 5.438, rel. 48; 2θ = 20.05°, d 4.429, rel. 30; 2θ = 25.87°, d 3.445, rel. 50; 2θ = 25.98°, d 3.429, rel. 100; 2θ = 35.02°, d 2.563, rel. 17; 2θ = 35.13°, d 2.554, rel. 33; 2θ = 44.22°, d 2.048, rel. 21; 2θ = 48.85°, d 1.864, rel. 16; 2θ = 48.99°, d 1.859, rel. 33; 2θ = 57.70°, d 1.598, rel. 17

=====

[6]
Sr2YCoO6: computed PXRD pattern (Cu Kα), based on a cell relaxed with GGA+U.
No peak broadening, texture or thermal motion is included.

Atomic structure:
```
data_Sr2YCoO6
_chemical_formula_sum 'Sr2 Y1 Co1 O6'
_symmetry_space_group_name_H-M 'P 1'
_symmetry_Int_Tables_number 1
_cell_length_a 5.7106
_cell_length_b 5.7106
_cell_length_c 5.7106
_cell_angle_alpha 119.11
_cell_angle_beta 119.11
_cell_angle_gamma 91.55
loop_
_symmetry_equiv_pos_as_xyz
'x,y,z'
loop_
_atom_site_label
_atom_site_fract_x
_atom_site_fract_y
_atom_site_fract_z
_atom_site_occupancy
Sr1 0.2500 0.7500 0.5000 1
Sr2 0.7500 0.2500 0.5000 1
Y1 0.0000 0.0000 0.0000 1
Co1 0.5000 0.5000 0.0000 1
O1 0.2669 0.2669 0.5337 1
O2 0.2669 0.7331 0.0000 1
O3 0.2768 0.2768 0.0000 1
O4 0.7232 0.7232 0.0000 1
O5 0.7331 0.2669 0.0000 1
O6 0.7331 0.7331 0.4663 1
```

Top 10 peaks for 5 to 70 degrees two-theta, sorted by position:
2θ = 30.90°, d 2.894, rel. 51; 2θ = 31.34°, d 2.854, rel. 100; 2θ = 38.45°, d 2.341, rel. 9; 2θ = 44.27°, d 2.046, rel. 37; 2θ = 45.55°, d 1.992, rel. 17; 2θ = 49.16°, d 1.853, rel. 2; 2θ = 55.24°, d 1.663, rel. 39; 2θ = 56.06°, d 1.641, rel. 18; 2θ = 64.39°, d 1.447, rel. 11; 2θ = 65.39°, d 1.427, rel. 20

=====

[7]
Sr3YCo2O8: computed PXRD pattern (Cu Kα), based on a cell relaxed with GGA+U.
No peak broadening, texture or thermal motion is included.

Atomic structure:
```
data_Sr3YCo2O8
_chemical_formula_sum 'Sr3 Y1 Co2 O8'
_symmetry_space_group_name_H-M 'P 1'
_symmetry_Int_Tables_number 1
_cell_length_a 5.3207
_cell_length_b 6.8545
_cell_length_c 6.8545
_cell_angle_alpha 46.12
_cell_angle_beta 90.00
_cell_angle_gamma 90.00
loop_
_symmetry_equiv_pos_as_xyz
'x,y,z'
loop_
_atom_site_label
_atom_site_fract_x
_atom_site_fract_y
_atom_site_fract_z
_atom_site_occupancy
Sr1 0.0000 0.0000 0.0000 1
Sr2 0.0000 0.2929 0.2929 1
Sr3 0.5000 0.7937 0.7937 1
Y1 0.5000 0.5098 0.5098 1
Co1 0.0000 0.6473 0.6473 1
Co2 0.5000 0.1444 0.1444 1
O1 0.0000 0.4890 0.4890 1
O2 0.0000 0.8033 0.8033 1
O3 0.2550 0.4007 0.8836 1
O4 0.2550 0.8836 0.4007 1
O5 0.5000 0.3340 0.3340 1
O6 0.5000 0.9851 0.9851 1
O7 0.7450 0.4007 0.8836 1
O8 0.7450 0.8836 0.4007 1
```

Top 10 peaks for 5 to 70 degrees two-theta, sorted by position:
2θ = 31.84°, d 2.811, rel. 100; 2θ = 33.37°, d 2.685, rel. 35; 2θ = 33.69°, d 2.660, rel. 34; 2θ = 43.06°, d 2.100, rel. 30; 2θ = 44.31°, d 2.044, rel. 11; 2θ = 44.56°, d 2.033, rel. 11; 2θ = 48.15°, d 1.890, rel. 38; 2θ = 58.68°, d 1.573, rel. 18; 2θ = 59.09°, d 1.563, rel. 17; 2θ = 66.53°, d 1.405, rel. 16

=====

[8]
Sr3ZnCoO6: computed PXRD pattern (Cu Kα), based on a cell relaxed with GGA+U.
No peak broadening, texture or thermal motion is included.

Atomic structure:
```
data_Sr3ZnCoO6
_chemical_formula_sum 'Sr12 Zn4 Co4 O24'
_symmetry_space_group_name_H-M 'P 1'
_symmetry_Int_Tables_number 1
_cell_length_a 6.5722
_cell_length_b 9.3018
_cell_length_c 9.6573
_cell_angle_alpha 91.45
_cell_angle_beta 90.75
_cell_angle_gamma 93.70
loop_
_symmetry_equiv_pos_as_xyz
'x,y,z'
loop_
_atom_site_label
_atom_site_fract_x
_atom_site_fract_y
_atom_site_fract_z
_atom_site_occupancy
Sr1 0.1095 0.0628 0.3198 1
Sr2 0.1192 0.5712 0.8158 1
Sr3 0.2447 0.7430 0.1389 1
Sr4 0.2551 0.2543 0.6332 1
Sr5 0.3813 0.4261 0.3176 1
Sr6 0.3875 0.9360 0.8173 1
Sr7 0.6125 0.0640 0.1827 1
Sr8 0.6187 0.5739 0.6824 1
Sr9 0.7449 0.7457 0.3668 1
Sr10 0.7553 0.2570 0.8611 1
Sr11 0.8808 0.4288 0.1842 1
Sr12 0.8905 0.9372 0.6802 1
Zn1 0.2446 0.2576 0.9913 1
Zn2 0.2501 0.7492 0.4999 1
Zn3 0.7499 0.2508 0.5001 1
Zn4 0.7554 0.7424 0.0087 1
Co1 0.0000 0.0000 0.0000 1
Co2 0.0000 0.5000 0.5000 1
Co3 0.5000 0.0000 0.5000 1
Co4 0.5000 0.5000 0.0000 1
O1 0.0363 0.3164 0.4065 1
O2 0.0365 0.8201 0.8995 1
O3 0.0880 0.6117 0.3419 1
O4 0.1075 0.1329 0.8362 1
O5 0.2193 0.4766 0.0561 1
O6 0.2257 0.9812 0.5630 1
O7 0.2650 0.0063 0.0678 1
O8 0.2767 0.5220 0.5629 1
O9 0.4088 0.8826 0.3423 1
O10 0.4224 0.3968 0.8332 1
O11 0.4615 0.1803 0.4046 1
O12 0.4688 0.6884 0.9159 1
O13 0.5312 0.3116 0.0841 1
O14 0.5385 0.8197 0.5954 1
O15 0.5776 0.6032 0.1668 1
O16 0.5912 0.1174 0.6577 1
O17 0.7233 0.4780 0.4371 1
O18 0.7350 0.9937 0.9322 1
O19 0.7743 0.0188 0.4370 1
O20 0.7807 0.5234 0.9439 1
O21 0.8925 0.8671 0.1638 1
O22 0.9120 0.3883 0.6581 1
O23 0.9635 0.1799 0.1005 1
O24 0.9637 0.6836 0.5935 1
```

Top 10 peaks for 5 to 70 degrees two-theta, sorted by position:
2θ = 30.12°, d 2.967, rel. 40; 2θ = 30.58°, d 2.923, rel. 19; 2θ = 30.73°, d 2.910, rel. 20; 2θ = 31.00°, d 2.885, rel. 19; 2θ = 31.13°, d 2.873, rel. 21; 2θ = 32.19°, d 2.781, rel. 100; 2θ = 32.40°, d 2.764, rel. 51; 2θ = 38.87°, d 2.317, rel. 19; 2θ = 44.33°, d 2.043, rel. 31; 2θ = 49.59°, d 1.838, rel. 14